Diffraction record for Na6Fe2B4AsO16. The powder diffractogram is computed, not measured: it uses the GGA+U geometry in Alexandria and Cu Ka.
Intensities are scaled so that the largest is 100.

Atomic structure:
a = 10.027 Å, b = 10.027 Å, c = 10.027 Å
α = 60.00°, β = 60.00°, γ = 60.00°
Atoms (fractional coordinates):
Na1 0.090 0.090 0.660
Na2 0.090 0.660 0.090
Na3 0.090 0.660 0.660
Na4 0.340 0.340 0.910
Na5 0.340 0.910 0.340
Na6 0.340 0.910 0.910
Na7 0.660 0.090 0.090
Na8 0.660 0.090 0.660
Na9 0.660 0.660 0.090
Na10 0.910 0.340 0.340
Na11 0.910 0.340 0.910
Na12 0.910 0.910 0.340
Fe1 0.000 0.500 0.500
Fe2 0.500 0.000 0.500
Fe3 0.500 0.500 0.000
Fe4 0.500 0.500 0.500
B1 0.287 0.287 0.287
B2 0.287 0.287 0.639
B3 0.287 0.639 0.287
B4 0.361 0.713 0.713
B5 0.639 0.287 0.287
B6 0.713 0.361 0.713
B7 0.713 0.713 0.361
B8 0.713 0.713 0.713
As1 0.125 0.125 0.125
As2 0.875 0.875 0.875
O1 0.055 0.055 0.055
O2 0.055 0.055 0.335
O3 0.055 0.335 0.055
O4 0.136 0.316 0.642
O5 0.136 0.406 0.316
O6 0.136 0.642 0.406
O7 0.316 0.136 0.406
O8 0.316 0.406 0.642
O9 0.316 0.642 0.136
O10 0.335 0.055 0.055
O11 0.358 0.594 0.864
O12 0.358 0.684 0.594
O13 0.358 0.864 0.684
O14 0.406 0.136 0.642
O15 0.406 0.316 0.136
O16 0.406 0.642 0.316
O17 0.594 0.358 0.684
O18 0.594 0.684 0.864
O19 0.594 0.864 0.358
O20 0.642 0.136 0.316
O21 0.642 0.316 0.406
O22 0.642 0.406 0.136
O23 0.665 0.945 0.945
O24 0.684 0.358 0.864
O25 0.684 0.594 0.358
O26 0.684 0.864 0.594
O27 0.864 0.358 0.594
O28 0.864 0.594 0.684
O29 0.864 0.684 0.358
O30 0.945 0.665 0.945
O31 0.945 0.945 0.665
O32 0.945 0.945 0.945

Principal peaks in the range 10° ≤ 2θ ≤ 80°, in order of falling intensity:
- 20.78 deg, I = 100
- 32.82 deg, I = 73
- 35.82 deg, I = 60
- 56.17 deg, I = 31
- 17.69 deg, I = 23
- 21.71 deg, I = 17
- 64.37 deg, I = 16
- 68.44 deg, I = 16
- 62.48 deg, I = 15
- 45.69 deg, I = 15